No. 1
# Cd2OsC6N6
Calculated powder diffractogram, λ = 1.5418 Å (Cu Kα). Input: a DFT-relaxed cell (GGA-PBE, Alexandria).
Intensities are scaled so that the largest is 100.

Principal peaks in the range 2θ from 10° to 90°, in order of rising 2θ:
- 20.75°, 4.280 Å, intensity 100
- 27.65°, 3.227 Å, intensity 31
- 34.82°, 2.576 Å, intensity 21
- 38.88°, 2.316 Å, intensity 42
- 43.91°, 2.062 Å, intensity 11
- 45.03°, 2.013 Å, intensity 23
- 48.89°, 1.863 Å, intensity 12
- 60.52°, 1.530 Å, intensity 11

Atomic structure:
Lattice parameters (Å, degrees): 6.4535 6.4535 6.6549 90.00 90.00 120.00
Fractional coordinates of all 15 atoms:
Cd (0.3333, 0.6667, 0.0000)
Cd (0.6667, 0.3333, 0.0000)
Os (0.0000, 0.0000, 0.5000)
C (0.0000, 0.2470, 0.6848)
C (0.0000, 0.7530, 0.3152)
C (0.2470, 0.0000, 0.6848)
C (0.2470, 0.2470, 0.3152)
C (0.7530, 0.0000, 0.3152)
C (0.7530, 0.7530, 0.6848)
N (0.0000, 0.3824, 0.8053)
N (0.0000, 0.6176, 0.1947)
N (0.3824, 0.0000, 0.8053)
N (0.3824, 0.3824, 0.1947)
N (0.6176, 0.0000, 0.1947)
N (0.6176, 0.6176, 0.8053)

No. 2
# Ce2Tm2In5
Calculated powder diffractogram, λ = 1.5418 Å (Cu Kα). Input: a DFT-relaxed cell (GGA-PBE, Alexandria).
Intensities are scaled so that the largest is 100.

Principal peaks in the range 2θ from 10° to 90°, in order of rising 2θ:
- 28.57°, 3.124 Å, intensity 68
- 31.11°, 2.875 Å, intensity 22
- 31.64°, 2.828 Å, intensity 100
- 35.43°, 2.533 Å, intensity 35
- 38.22°, 2.355 Å, intensity 30
- 40.22°, 2.242 Å, intensity 18
- 41.07°, 2.198 Å, intensity 26
- 47.66°, 1.908 Å, intensity 17

Atomic structure:
Lattice parameters (Å, degrees): 9.6684 9.6684 9.6684 138.72 78.33 116.79
Fractional coordinates of all 18 atoms:
Ce (0.1449, 0.0158, 0.1291)
Ce (0.3866, 0.0158, 0.3709)
Ce (0.6134, 0.9842, 0.6291)
Ce (0.8551, 0.9842, 0.8709)
Tm (0.0000, 0.5000, 0.5000)
Tm (0.2334, 0.4834, 0.7500)
Tm (0.5000, 0.5000, 0.0000)
Tm (0.7666, 0.5166, 0.2500)
In (0.0984, 0.0000, 0.5984)
In (0.0984, 0.5000, 0.0984)
In (0.2932, 0.0000, 0.7932)
In (0.2932, 0.5000, 0.2932)
In (0.5000, 0.0000, 0.0000)
In (0.5000, 0.5000, 0.5000)
In (0.7068, 0.0000, 0.2068)
In (0.7068, 0.5000, 0.7068)
In (0.9016, 0.0000, 0.4016)
In (0.9016, 0.5000, 0.9016)

No. 3
# CsAsP2Se8
Calculated powder diffractogram, λ = 1.5418 Å (Cu Kα). Input: a DFT-relaxed cell (GGA-PBE, Alexandria).
Intensities are scaled so that the largest is 100.

Principal peaks in the range 2θ from 10° to 90°, in order of rising 2θ:
- 19.57°, 4.536 Å, intensity 58
- 24.06°, 3.699 Å, intensity 37
- 29.71°, 3.007 Å, intensity 100
- 31.55°, 2.835 Å, intensity 23
- 32.91°, 2.722 Å, intensity 86
- 34.88°, 2.573 Å, intensity 22
- 43.64°, 2.074 Å, intensity 25
- 50.62°, 1.803 Å, intensity 43

Atomic structure:
Lattice parameters (Å, degrees): 11.6689 11.6689 11.6689 31.05 31.05 31.05
Fractional coordinates of all 12 atoms:
Cs (0.0000, 0.0000, 0.0000)
As (0.5000, 0.5000, 0.5000)
P (0.2348, 0.2348, 0.2348)
P (0.7652, 0.7652, 0.7652)
Se (0.1267, 0.7933, 0.4286)
Se (0.2067, 0.5714, 0.8733)
Se (0.2998, 0.2998, 0.2998)
Se (0.4286, 0.1267, 0.7933)
Se (0.5714, 0.8733, 0.2067)
Se (0.7002, 0.7002, 0.7002)
Se (0.7933, 0.4286, 0.1267)
Se (0.8733, 0.2067, 0.5714)

No. 4
# Sm2Ho2Rh3
Calculated powder diffractogram, λ = 1.5418 Å (Cu Kα). Input: a DFT-relaxed cell (GGA-PBE, Alexandria).
Intensities are scaled so that the largest is 100.

Principal peaks in the range 2θ from 10° to 90°, in order of rising 2θ:
- 12.08°, 7.327 Å, intensity 27
- 25.70°, 3.466 Å, intensity 23
- 31.75°, 2.819 Å, intensity 46
- 32.63°, 2.744 Å, intensity 100
- 41.07°, 2.198 Å, intensity 33
- 41.84°, 2.159 Å, intensity 44
- 43.25°, 2.092 Å, intensity 21
- 52.82°, 1.733 Å, intensity 21

Atomic structure:
Lattice parameters (Å, degrees): 4.3955 5.9582 7.4449 99.44 90.08 111.64
Fractional coordinates of all 7 atoms:
Sm (0.1336, 0.2658, 0.3554)
Sm (0.8664, 0.7342, 0.6446)
Ho (0.3629, 0.7250, 0.0726)
Ho (0.6371, 0.2750, 0.9274)
Rh (0.0000, 0.0000, 0.0000)
Rh (0.1934, 0.3890, 0.7338)
Rh (0.8066, 0.6110, 0.2662)